[1]
Starting from DFT lattice parameters and positions (PBE), the X-ray diffraction stick pattern of Rb2Be2As2H was computed for λ = 1.5418 Å (Cu Kα).
Kinematic intensities with the Lorentz-polarization factor, no thermal factor.

The 10 most intense peaks (15 to 90 degrees two-theta), in order of rising 2θ:
2theta	Rel. int.
24.13	34.9
26.28	25.5
28.16	27.1
29.91	100.0
32.46	35.4
33.40	37.9
34.51	84.1
36.15	18.3
45.32	22.1
54.24	16.6

```
data_Rb2Be2As2H
_chemical_formula_sum 'Rb4 Be4 As4 H2'
_cell_length_a 11.318
_cell_length_b 4.002
_cell_length_c 8.074
_cell_angle_alpha 90.00
_cell_angle_beta 122.84
_cell_angle_gamma 90.00
_symmetry_space_group_name_H-M 'C 1 2/m 1'
_symmetry_Int_Tables_number 12
_symmetry_space_group_name_Hall '-C 2y'
loop_
_atom_site_label
_atom_site_type_symbol
_atom_site_fract_x
_atom_site_fract_y
_atom_site_fract_z
_atom_site_occupancy
Rb1 Rb 0.059 0.000 0.332 1
Be1 Be 0.161 0.500 0.059 1
As1 As 0.225 0.500 0.822 1
H1 H 0.000 0.500 0.000 1
```

[2]
Starting from DFT lattice parameters and positions (PBE), the X-ray diffraction stick pattern of SrBe2AsH2 was computed for λ = 1.5418 Å (Cu Kα).
Kinematic intensities with the Lorentz-polarization factor, no thermal factor.

The 10 most intense peaks (15 to 90 degrees two-theta), in order of rising 2θ:
2theta	Rel. int.
15.53	27.5
25.41	100.0
25.49	40.5
31.21	33.9
32.60	19.7
32.71	23.4
35.23	39.1
37.46	23.9
47.58	26.3
52.11	19.7

```
data_SrBe2AsH2
_chemical_formula_sum 'Sr2 Be4 As2 H4'
_cell_length_a 6.441
_cell_length_b 4.443
_cell_length_c 6.987
_cell_angle_alpha 90.00
_cell_angle_beta 117.12
_cell_angle_gamma 90.00
_symmetry_space_group_name_H-M 'P 1 21/m 1'
_symmetry_Int_Tables_number 11
_symmetry_space_group_name_Hall '-P 2yb'
loop_
_atom_site_label
_atom_site_type_symbol
_atom_site_fract_x
_atom_site_fract_y
_atom_site_fract_z
_atom_site_occupancy
Sr1 Sr 0.208 0.250 0.332 1
Be1 Be 0.364 0.504 0.814 1
As1 As 0.291 0.750 0.064 1
H1 H 0.188 0.250 0.695 1
H2 H 0.348 0.750 0.647 1
```

[3]
Starting from DFT lattice parameters and positions (PBE), the X-ray diffraction stick pattern of BeZn2As2H2 was computed for λ = 1.5418 Å (Cu Kα).
Kinematic intensities with the Lorentz-polarization factor, no thermal factor.

The 10 most intense peaks (15 to 90 degrees two-theta), in order of rising 2θ:
2theta	Rel. int.
18.21	43.2
19.45	100.0
25.66	57.4
28.54	45.0
30.76	26.4
31.06	82.7
36.82	38.7
38.57	32.5
43.70	27.3
44.59	38.0

```
data_BeZn2As2H2
_chemical_formula_sum 'Be1 Zn2 As2 H2'
_cell_length_a 4.266
_cell_length_b 5.406
_cell_length_c 5.481
_cell_angle_alpha 114.06
_cell_angle_beta 99.30
_cell_angle_gamma 95.42
_symmetry_space_group_name_H-M 'P -1'
_symmetry_Int_Tables_number 2
_symmetry_space_group_name_Hall '-P 1'
loop_
_atom_site_label
_atom_site_type_symbol
_atom_site_fract_x
_atom_site_fract_y
_atom_site_fract_z
_atom_site_occupancy
Be1 Be 0.000 0.000 0.000 1
Zn1 Zn 0.444 0.599 0.323 1
As1 As 0.042 0.200 0.727 1
H1 H 0.383 0.264 0.286 1
```

[4]
Starting from DFT lattice parameters and positions (PBE), the X-ray diffraction stick pattern of Na2BeHgAs2 was computed for λ = 1.5418 Å (Cu Kα).
Kinematic intensities with the Lorentz-polarization factor, no thermal factor.

The 10 most intense peaks (15 to 90 degrees two-theta), in order of rising 2θ:
2theta	Rel. int.
16.19	100.0
24.07	76.9
24.56	37.1
32.43	35.4
32.72	36.6
34.11	81.6
35.06	46.4
39.36	65.0
39.61	50.5
42.89	51.8

```
data_Na2BeHgAs2
_chemical_formula_sum 'Na8 Be4 Hg4 As8'
_cell_length_a 5.933
_cell_length_b 14.187
_cell_length_c 5.994
_cell_angle_alpha 90.00
_cell_angle_beta 90.00
_cell_angle_gamma 90.00
_symmetry_space_group_name_H-M 'I b a m'
_symmetry_Int_Tables_number 72
_symmetry_space_group_name_Hall '-I 2 2c'
loop_
_atom_site_label
_atom_site_type_symbol
_atom_site_fract_x
_atom_site_fract_y
_atom_site_fract_z
_atom_site_occupancy
Na1 Na 0.212 0.178 0.000 1
Be1 Be 0.000 0.500 0.250 1
Hg1 Hg 0.000 0.000 0.250 1
As1 As 0.190 0.392 0.000 1
```

[5]
Starting from DFT lattice parameters and positions (PBE), the X-ray diffraction stick pattern of BeIn2As was computed for λ = 1.5418 Å (Cu Kα).
Kinematic intensities with the Lorentz-polarization factor, no thermal factor.

The 10 most intense peaks (15 to 90 degrees two-theta), in order of rising 2θ:
2theta	Rel. int.
30.63	95.5
31.34	52.6
33.74	47.8
35.72	100.0
46.71	34.0
47.52	17.9
59.54	17.8
61.64	19.5
61.87	24.0
68.84	20.7

```
data_BeIn2As
_chemical_formula_sum 'Be2 In4 As2'
_cell_length_a 3.827
_cell_length_b 5.313
_cell_length_c 8.563
_cell_angle_alpha 90.00
_cell_angle_beta 90.00
_cell_angle_gamma 90.00
_symmetry_space_group_name_H-M 'C m m 2'
_symmetry_Int_Tables_number 35
_symmetry_space_group_name_Hall 'C 2 -2'
loop_
_atom_site_label
_atom_site_type_symbol
_atom_site_fract_x
_atom_site_fract_y
_atom_site_fract_z
_atom_site_occupancy
Be1 Be 0.000 0.000 0.000 1
In1 In 0.000 0.000 0.563 1
In2 In 0.000 0.500 0.237 1
As1 As 0.000 0.500 0.874 1
```